(1)
Computed powder X-ray diffraction pattern
Compound: CuHg4Pd7
Radiation: Cu Ka
Structure: a PBE-relaxed structure
Neutral-atom scattering factors, no anomalous dispersion.

Structural model:
a = 6.1103 Å, b = 6.1103 Å, c = 9.5519 Å
α = 116.30°, β = 116.30°, γ = 46.37°
Sites, in units of the cell vectors:
Cu 0.0000 0.0000 0.0000
Hg 0.2551 0.2551 0.6874
Hg 0.4161 0.4161 0.2299
Hg 0.5839 0.5839 0.7701
Hg 0.7449 0.7449 0.3126
Pd 0.0782 0.0782 0.3160
Pd 0.1920 0.1920 0.9315
Pd 0.3591 0.3591 0.4787
Pd 0.5000 0.5000 0.0000
Pd 0.6409 0.6409 0.5213
Pd 0.8080 0.8080 0.0685
Pd 0.9218 0.9218 0.6840

Peak list (12 most intense, 10° ≤ 2θ ≤ 80°, sorted by position)
| 2θ (°) | d/Å | I_rel |
| --- | --- | --- |
| 20.55 | 4.322 | 164 |
| 25.05 | 3.555 | 201 |
| 30.35 | 2.945 | 321 |
| 35.13 | 2.555 | 489 |
| 35.84 | 2.506 | 269 |
| 37.38 | 2.406 | 703 |
| 38.78 | 2.322 | 1000 |
| 42.81 | 2.112 | 163 |
| 43.90 | 2.062 | 465 |
| 52.23 | 1.751 | 316 |
| 63.13 | 1.473 | 146 |
| 68.36 | 1.372 | 189 |


(2)
Computed powder X-ray diffraction pattern
Compound: Pu2Cu2HgPd5
Radiation: Cu Ka
Structure: a PBE-relaxed structure
Neutral-atom scattering factors, no anomalous dispersion.

Structural model:
a = 9.5314 Å, b = 9.5314 Å, c = 3.9536 Å
α = 90.00°, β = 90.00°, γ = 90.00°
Sites, in units of the cell vectors:
Pu 0.1760 0.3240 0.0000
Pu 0.3240 0.8240 0.0000
Pu 0.6760 0.1760 0.0000
Pu 0.8240 0.6760 0.0000
Cu 0.1204 0.6204 0.0000
Cu 0.3796 0.1204 0.0000
Cu 0.6204 0.8796 0.0000
Cu 0.8796 0.3796 0.0000
Hg 0.0000 0.0000 0.0000
Hg 0.5000 0.5000 0.0000
Pd 0.0000 0.5000 0.5000
Pd 0.0698 0.7915 0.5000
Pd 0.2085 0.0698 0.5000
Pd 0.2915 0.5698 0.5000
Pd 0.4302 0.2915 0.5000
Pd 0.5000 0.0000 0.5000
Pd 0.5698 0.7085 0.5000
Pd 0.7085 0.4302 0.5000
Pd 0.7915 0.9302 0.5000
Pd 0.9302 0.2085 0.5000

Peak list (12 most intense, 10° ≤ 2θ ≤ 80°, sorted by position)
| 2θ (°) | d/Å | I_rel |
| --- | --- | --- |
| 29.64 | 3.014 | 105 |
| 30.85 | 2.899 | 424 |
| 34.99 | 2.565 | 304 |
| 37.52 | 2.397 | 1000 |
| 38.96 | 2.312 | 441 |
| 41.07 | 2.198 | 242 |
| 42.41 | 2.131 | 168 |
| 45.91 | 1.977 | 259 |
| 61.75 | 1.502 | 230 |
| 63.07 | 1.474 | 111 |
| 75.48 | 1.259 | 106 |
| 79.35 | 1.207 | 114 |


(3)
Computed powder X-ray diffraction pattern
Compound: Pm3Cu2Hg4
Radiation: Cu Ka
Structure: a PBE-relaxed structure
Neutral-atom scattering factors, no anomalous dispersion.

Structural model:
a = 6.0218 Å, b = 6.0218 Å, c = 9.0067 Å
α = 114.68°, β = 114.68°, γ = 46.91°
Sites, in units of the cell vectors:
Pm 0.0000 0.0000 0.0000
Pm 0.3315 0.3315 0.3428
Pm 0.6685 0.6685 0.6572
Cu 0.3978 0.3978 0.7250
Cu 0.6022 0.6022 0.2750
Hg 0.0540 0.0540 0.3777
Hg 0.2861 0.2861 0.9361
Hg 0.7139 0.7139 0.0639
Hg 0.9460 0.9460 0.6223

Peak list (12 most intense, 10° ≤ 2θ ≤ 80°, sorted by position)
| 2θ (°) | d/Å | I_rel |
| --- | --- | --- |
| 32.89 | 2.724 | 338 |
| 33.10 | 2.707 | 690 |
| 33.42 | 2.681 | 580 |
| 33.52 | 2.673 | 305 |
| 37.36 | 2.407 | 1000 |
| 37.52 | 2.397 | 519 |
| 50.74 | 1.799 | 201 |
| 51.20 | 1.784 | 272 |
| 51.69 | 1.768 | 204 |
| 64.91 | 1.437 | 295 |
| 65.61 | 1.423 | 199 |
| 66.08 | 1.414 | 185 |


(4)
Computed powder X-ray diffraction pattern
Compound: PmCuHg6
Radiation: Cu Ka
Structure: a PBE-relaxed structure
Neutral-atom scattering factors, no anomalous dispersion.

Structural model:
a = 8.8726 Å, b = 8.8726 Å, c = 8.8726 Å
α = 39.98°, β = 39.98°, γ = 39.98°
Sites, in units of the cell vectors:
Pm 0.0000 0.0000 0.0000
Cu 0.5000 0.5000 0.5000
Hg 0.0654 0.0654 0.5557
Hg 0.0654 0.5557 0.0654
Hg 0.4443 0.9346 0.9346
Hg 0.5557 0.0654 0.0654
Hg 0.9346 0.4443 0.9346
Hg 0.9346 0.9346 0.4443

Peak list (12 most intense, 10° ≤ 2θ ≤ 80°, sorted by position)
| 2θ (°) | d/Å | I_rel |
| --- | --- | --- |
| 10.85 | 8.152 | 650 |
| 17.26 | 5.137 | 913 |
| 21.81 | 4.076 | 358 |
| 32.96 | 2.717 | 487 |
| 33.93 | 2.642 | 360 |
| 34.33 | 2.612 | 978 |
| 34.93 | 2.568 | 1000 |
| 36.94 | 2.434 | 369 |
| 43.08 | 2.100 | 689 |
| 45.53 | 1.992 | 412 |
| 61.10 | 1.517 | 353 |
| 71.20 | 1.324 | 328 |


(5)
Computed powder X-ray diffraction pattern
Compound: Pm5Cu2Hg
Radiation: Cu Ka
Structure: a PBE-relaxed structure
Neutral-atom scattering factors, no anomalous dispersion.

Structural model:
a = 8.6539 Å, b = 8.6539 Å, c = 8.6539 Å
α = 123.66°, β = 123.66°, γ = 83.77°
Sites, in units of the cell vectors:
Pm 0.0000 0.0000 0.0000
Pm 0.0123 0.5123 0.8113
Pm 0.2010 0.0123 0.5000
Pm 0.2990 0.7990 0.8113
Pm 0.4877 0.2990 0.5000
Pm 0.5000 0.5000 0.0000
Pm 0.5123 0.7010 0.5000
Pm 0.7010 0.2010 0.1887
Pm 0.7990 0.9877 0.5000
Pm 0.9877 0.4877 0.1887
Cu 0.1272 0.3728 0.5000
Cu 0.3728 0.8728 0.2457
Cu 0.6272 0.1272 0.7543
Cu 0.8728 0.6272 0.5000
Hg 0.2500 0.2500 0.0000
Hg 0.7500 0.7500 0.0000

Peak list (12 most intense, 10° ≤ 2θ ≤ 80°, sorted by position)
| 2θ (°) | d/Å | I_rel |
| --- | --- | --- |
| 25.33 | 3.516 | 232 |
| 30.96 | 2.889 | 198 |
| 31.80 | 2.814 | 391 |
| 32.16 | 2.783 | 1000 |
| 34.72 | 2.584 | 863 |
| 35.49 | 2.530 | 436 |
| 49.91 | 1.827 | 148 |
| 53.09 | 1.725 | 165 |
| 55.61 | 1.653 | 288 |
| 65.02 | 1.434 | 169 |
| 65.21 | 1.431 | 172 |
| 68.67 | 1.367 | 162 |


(6)
Computed powder X-ray diffraction pattern
Compound: PmYCuHg
Radiation: Cu Ka
Structure: a PBE-relaxed structure
Neutral-atom scattering factors, no anomalous dispersion.

Structural model:
a = 3.5997 Å, b = 3.5997 Å, c = 7.5220 Å
α = 90.00°, β = 90.00°, γ = 90.00°
Sites, in units of the cell vectors:
Pm 0.0000 0.0000 0.0000
Y 0.0000 0.0000 0.4578
Cu 0.5000 0.5000 0.2441
Hg 0.5000 0.5000 0.7195

Peak list (12 most intense, 10° ≤ 2θ ≤ 80°, sorted by position)
| 2θ (°) | d/Å | I_rel |
| --- | --- | --- |
| 11.76 | 7.522 | 128 |
| 27.47 | 3.247 | 229 |
| 34.49 | 2.601 | 1000 |
| 35.26 | 2.545 | 492 |
| 48.40 | 1.881 | 84 |
| 50.72 | 1.800 | 174 |
| 51.14 | 1.786 | 83 |
| 58.65 | 1.574 | 60 |
| 61.29 | 1.512 | 164 |
| 62.79 | 1.480 | 348 |
| 67.48 | 1.388 | 57 |
| 72.73 | 1.300 | 99 |


(7)
Computed powder X-ray diffraction pattern
Compound: Pr4CuHg
Radiation: Cu Ka
Structure: a PBE-relaxed structure
Neutral-atom scattering factors, no anomalous dispersion.

Structural model:
a = 3.7265 Å, b = 3.7265 Å, c = 12.9132 Å
α = 90.00°, β = 90.00°, γ = 90.00°
Sites, in units of the cell vectors:
Pr 0.0000 0.0000 0.1330
Pr 0.0000 0.0000 0.8670
Pr 0.5000 0.5000 0.3419
Pr 0.5000 0.5000 0.6581
Cu 0.5000 0.5000 0.0000
Hg 0.0000 0.0000 0.5000

Peak list (12 most intense, 10° ≤ 2θ ≤ 80°, sorted by position)
| 2θ (°) | d/Å | I_rel |
| --- | --- | --- |
| 27.64 | 3.228 | 134 |
| 31.76 | 2.817 | 1000 |
| 34.02 | 2.635 | 482 |
| 41.98 | 2.152 | 75 |
| 42.59 | 2.123 | 87 |
| 48.88 | 1.863 | 175 |
| 49.41 | 1.844 | 65 |
| 55.10 | 1.667 | 141 |
| 57.07 | 1.614 | 63 |
| 59.48 | 1.554 | 332 |
| 66.36 | 1.409 | 76 |
| 71.62 | 1.318 | 56 |


(8)
Computed powder X-ray diffraction pattern
Compound: Pr3CuHg2
Radiation: Cu Ka
Structure: a PBE-relaxed structure
Neutral-atom scattering factors, no anomalous dispersion.

Structural model:
a = 5.3976 Å, b = 16.0058 Å, c = 3.7834 Å
α = 90.00°, β = 90.00°, γ = 90.00°
Sites, in units of the cell vectors:
Pr 0.0000 0.0000 0.0000
Pr 0.0000 0.3449 0.0000
Pr 0.0000 0.6551 0.0000
Pr 0.5000 0.1551 0.0000
Pr 0.5000 0.5000 0.0000
Pr 0.5000 0.8449 0.0000
Cu 0.0000 0.5000 0.5000
Cu 0.5000 0.0000 0.5000
Hg 0.0000 0.1743 0.5000
Hg 0.0000 0.8257 0.5000
Hg 0.5000 0.3257 0.5000
Hg 0.5000 0.6743 0.5000

Peak list (12 most intense, 10° ≤ 2θ ≤ 80°, sorted by position)
| 2θ (°) | d/Å | I_rel |
| --- | --- | --- |
| 11.06 | 8.003 | 61 |
| 32.52 | 2.753 | 64 |
| 33.20 | 2.699 | 261 |
| 33.45 | 2.679 | 1000 |
| 33.60 | 2.668 | 229 |
| 47.95 | 1.897 | 170 |
| 48.10 | 1.892 | 93 |
| 59.47 | 1.554 | 192 |
| 59.69 | 1.549 | 97 |
| 59.97 | 1.543 | 240 |
| 70.27 | 1.340 | 108 |
| 79.98 | 1.200 | 70 |


(9)
Computed powder X-ray diffraction pattern
Compound: Pr2Cu2Hg3
Radiation: Cu Ka
Structure: a PBE-relaxed structure
Neutral-atom scattering factors, no anomalous dispersion.

Structural model:
a = 4.3557 Å, b = 20.1435 Å, c = 3.8620 Å
α = 90.00°, β = 90.00°, γ = 90.00°
Sites, in units of the cell vectors:
Pr 0.0000 0.1674 0.0000
Pr 0.0000 0.8326 0.0000
Pr 0.5000 0.3326 0.0000
Pr 0.5000 0.6674 0.0000
Cu 0.0000 0.2816 0.5000
Cu 0.0000 0.7184 0.5000
Cu 0.5000 0.2184 0.5000
Cu 0.5000 0.7816 0.5000
Hg 0.0000 0.0000 0.0000
Hg 0.0000 0.4221 0.5000
Hg 0.0000 0.5779 0.5000
Hg 0.5000 0.0779 0.5000
Hg 0.5000 0.5000 0.0000
Hg 0.5000 0.9221 0.5000

Peak list (12 most intense, 10° ≤ 2θ ≤ 80°, sorted by position)
| 2θ (°) | d/Å | I_rel |
| --- | --- | --- |
| 30.22 | 2.958 | 304 |
| 31.27 | 2.860 | 1000 |
| 35.43 | 2.534 | 595 |
| 37.46 | 2.401 | 435 |
| 41.46 | 2.178 | 235 |
| 47.06 | 1.931 | 163 |
| 55.65 | 1.652 | 328 |
| 56.95 | 1.617 | 107 |
| 61.64 | 1.505 | 203 |
| 64.49 | 1.445 | 127 |
| 68.74 | 1.366 | 161 |
| 69.30 | 1.356 | 104 |


(10)
Computed powder X-ray diffraction pattern
Compound: PrCuHg
Radiation: Cu Ka
Structure: a PBE-relaxed structure
Neutral-atom scattering factors, no anomalous dispersion.

Structural model:
a = 7.1564 Å, b = 4.6904 Å, c = 8.2270 Å
α = 90.00°, β = 90.00°, γ = 90.00°
Sites, in units of the cell vectors:
Pr 0.0093 0.2500 0.2207
Pr 0.4907 0.7500 0.7207
Pr 0.5093 0.2500 0.2793
Pr 0.9907 0.7500 0.7793
Cu 0.2222 0.7500 0.4122
Cu 0.2778 0.2500 0.9122
Cu 0.7222 0.7500 0.0878
Cu 0.7778 0.2500 0.5878
Hg 0.2084 0.2500 0.5814
Hg 0.2916 0.7500 0.0814
Hg 0.7084 0.2500 0.9186
Hg 0.7916 0.7500 0.4186

Peak list (12 most intense, 10° ≤ 2θ ≤ 80°, sorted by position)
| 2θ (°) | d/Å | I_rel |
| --- | --- | --- |
| 24.94 | 3.570 | 249 |
| 25.15 | 3.541 | 355 |
| 31.49 | 2.841 | 270 |
| 33.18 | 2.700 | 481 |
| 33.32 | 2.689 | 1000 |
| 38.01 | 2.367 | 805 |
| 38.38 | 2.345 | 443 |
| 39.33 | 2.291 | 154 |
| 51.63 | 1.770 | 276 |
| 65.38 | 1.427 | 166 |
| 65.59 | 1.423 | 179 |
| 66.23 | 1.411 | 173 |


(11)
Computed powder X-ray diffraction pattern
Compound: Cu2HgPt
Radiation: Cu Ka
Structure: a PBE-relaxed structure
Neutral-atom scattering factors, no anomalous dispersion.

Structural model:
a = 9.4659 Å, b = 2.9325 Å, c = 4.5958 Å
α = 90.00°, β = 108.37°, γ = 90.00°
Sites, in units of the cell vectors:
Cu 0.0000 0.0000 0.0000
Cu 0.2238 0.5000 0.2872
Cu 0.5000 0.5000 0.0000
Cu 0.7238 0.0000 0.2872
Hg 0.4800 0.0000 0.4890
Hg 0.9800 0.5000 0.4890
Pt 0.2523 0.0000 0.8165
Pt 0.7523 0.5000 0.8165

Peak list (12 most intense, 10° ≤ 2θ ≤ 80°, sorted by position)
| 2θ (°) | d/Å | I_rel |
| --- | --- | --- |
| 20.36 | 4.361 | 93 |
| 23.53 | 3.781 | 164 |
| 32.11 | 2.788 | 197 |
| 32.82 | 2.729 | 158 |
| 39.86 | 2.262 | 321 |
| 40.09 | 2.249 | 1000 |
| 43.60 | 2.076 | 549 |
| 52.07 | 1.756 | 123 |
| 63.44 | 1.466 | 92 |
| 70.00 | 1.344 | 92 |
| 70.40 | 1.337 | 100 |
| 77.79 | 1.228 | 181 |


(12)
Computed powder X-ray diffraction pattern
Compound: CuHg4Pt
Radiation: Cu Ka
Structure: a PBE-relaxed structure
Neutral-atom scattering factors, no anomalous dispersion.

Structural model:
a = 5.6605 Å, b = 5.6605 Å, c = 5.6605 Å
α = 60.00°, β = 60.00°, γ = 60.00°
Sites, in units of the cell vectors:
Cu 0.0000 0.0000 0.0000
Hg 0.1253 0.6249 0.6249
Hg 0.6249 0.1253 0.6249
Hg 0.6249 0.6249 0.1253
Hg 0.6249 0.6249 0.6249
Pt 0.2500 0.2500 0.2500

Peak list (12 most intense, 10° ≤ 2θ ≤ 80°, sorted by position)
| 2θ (°) | d/Å | I_rel |
| --- | --- | --- |
| 19.20 | 4.622 | 259 |
| 31.61 | 2.830 | 150 |
| 37.25 | 2.414 | 1000 |
| 38.97 | 2.311 | 555 |
| 45.31 | 2.001 | 123 |
| 49.64 | 1.837 | 71 |
| 56.30 | 1.634 | 58 |
| 60.05 | 1.541 | 336 |
| 66.02 | 1.415 | 308 |
| 69.46 | 1.353 | 55 |
| 78.32 | 1.221 | 119 |
| 79.40 | 1.207 | 222 |


(13)
Computed powder X-ray diffraction pattern
Compound: Cu2HgPt
Radiation: Cu Ka
Structure: a PBE-relaxed structure
Neutral-atom scattering factors, no anomalous dispersion.

Structural model:
a = 4.0276 Å, b = 4.0276 Å, c = 7.4852 Å
α = 90.00°, β = 90.00°, γ = 90.00°
Sites, in units of the cell vectors:
Cu 0.0000 0.5000 0.2500
Cu 0.0000 0.5000 0.7500
Cu 0.5000 0.0000 0.2500
Cu 0.5000 0.0000 0.7500
Hg 0.0000 0.0000 0.0000
Hg 0.5000 0.5000 0.5000
Pt 0.0000 0.0000 0.5000
Pt 0.5000 0.5000 0.0000

Peak list (12 most intense, 10° ≤ 2θ ≤ 80°, sorted by position)
| 2θ (°) | d/Å | I_rel |
| --- | --- | --- |
| 23.77 | 3.743 | 209 |
| 31.41 | 2.848 | 212 |
| 39.77 | 2.266 | 1000 |
| 45.02 | 2.014 | 351 |
| 48.66 | 1.871 | 140 |
| 51.54 | 1.773 | 114 |
| 59.07 | 1.564 | 78 |
| 65.56 | 1.424 | 113 |
| 68.44 | 1.371 | 199 |
| 70.80 | 1.331 | 47 |
| 74.50 | 1.274 | 41 |
| 79.49 | 1.206 | 263 |


(14)
Computed powder X-ray diffraction pattern
Compound: CuHgPt2
Radiation: Cu Ka
Structure: a PBE-relaxed structure
Neutral-atom scattering factors, no anomalous dispersion.

Structural model:
a = 4.0571 Å, b = 4.0571 Å, c = 7.8343 Å
α = 90.00°, β = 90.00°, γ = 90.00°
Sites, in units of the cell vectors:
Cu 0.0000 0.0000 0.0000
Cu 0.5000 0.5000 0.5000
Hg 0.0000 0.0000 0.5000
Hg 0.5000 0.5000 0.0000
Pt 0.0000 0.5000 0.2500
Pt 0.0000 0.5000 0.7500
Pt 0.5000 0.0000 0.2500
Pt 0.5000 0.0000 0.7500

Peak list (12 most intense, 10° ≤ 2θ ≤ 80°, sorted by position)
| 2θ (°) | d/Å | I_rel |
| --- | --- | --- |
| 22.70 | 3.917 | 30 |
| 24.71 | 3.603 | 127 |
| 31.18 | 2.869 | 27 |
| 38.91 | 2.314 | 1000 |
| 41.11 | 2.196 | 35 |
| 44.67 | 2.029 | 340 |
| 46.36 | 1.959 | 153 |
| 51.71 | 1.768 | 38 |
| 62.31 | 1.490 | 22 |
| 65.02 | 1.434 | 112 |
| 66.34 | 1.409 | 210 |
| 78.44 | 1.219 | 264 |


(15)
Computed powder X-ray diffraction pattern
Compound: Cu2HgPt
Radiation: Cu Ka
Structure: a PBE-relaxed structure
Neutral-atom scattering factors, no anomalous dispersion.

Structural model:
a = 5.6602 Å, b = 7.3451 Å, c = 2.9252 Å
α = 90.00°, β = 90.00°, γ = 90.00°
Sites, in units of the cell vectors:
Cu 0.2500 0.2500 0.0000
Cu 0.2500 0.7500 0.0000
Cu 0.7500 0.2500 0.0000
Cu 0.7500 0.7500 0.0000
Hg 0.0000 0.0000 0.5000
Hg 0.5000 0.5000 0.5000
Pt 0.0000 0.5000 0.5000
Pt 0.5000 0.0000 0.5000

Peak list (12 most intense, 10° ≤ 2θ ≤ 80°, sorted by position)
| 2θ (°) | d/Å | I_rel |
| --- | --- | --- |
| 24.23 | 3.673 | 389 |
| 30.56 | 2.925 | 221 |
| 31.61 | 2.830 | 203 |
| 39.38 | 2.288 | 1000 |
| 40.23 | 2.242 | 942 |
| 44.55 | 2.034 | 705 |
| 49.65 | 1.836 | 256 |
| 51.35 | 1.779 | 224 |
| 63.62 | 1.463 | 121 |
| 68.89 | 1.363 | 380 |
| 78.01 | 1.225 | 269 |
| 79.67 | 1.203 | 255 |